For Mg6NbFe, a structure optimized by DFT (GGA-PBE) gives the calculated powder diffraction line list in this record (a wavelength of 1.5418 Å).
No peak broadening, texture or thermal motion is included.

Largest 10 diffraction maxima, in order of falling intensity, 2θ = 10–90°:
2theta	I_rel	h k l
40.17	100	1 2 2
37.89	75	1 0 4
16.25	50	0 0 2
37.23	45	2 0 0
35.41	43	0 2 2
18.37	31	1 0 0
52.32	27	2 2 2
24.62	24	1 0 2
73.04	19	2 2 6
69.11	18	3 2 2

Structural model:
a = 4.831 Å, b = 5.726 Å, c = 10.909 Å
α = 90.00°, β = 90.00°, γ = 90.00°
Space group Amm2 (No. 38)
Symmetry-distinct sites (fractional):
Mg: 0.000 0.000 0.000 x2
Mg: 0.000 0.000 0.482 x2
Mg: 0.000 0.249 0.259 x4
Mg: 0.500 0.249 0.101 x4
Nb: 0.500 0.000 0.853 x2
Fe: 0.500 0.000 0.341 x2

***

For Mg6NbFe, a structure optimized by DFT (GGA-PBE) gives the calculated powder diffraction line list in this record (a wavelength of 1.5418 Å).
No peak broadening, texture or thermal motion is included.

Largest 10 diffraction maxima, in order of falling intensity, 2θ = 10–90°:
2theta	I_rel	h k l
39.48	100	1 2 2
16.95	89	0 1 1
38.30	89	1 0 4
34.28	59	0 2 2
38.53	48	2 0 0
16.30	39	0 0 2
52.51	37	2 2 2
75.47	21	1 4 4
34.74	20	1 1 3
70.34	17	3 2 2

Structural model:
a = 4.673 Å, b = 5.968 Å, c = 10.877 Å
α = 90.00°, β = 90.00°, γ = 90.00°
Space group Amm2 (No. 38)
Symmetry-distinct sites (fractional):
Mg: 0.000 0.000 0.000 x2
Mg: 0.000 0.240 0.252 x4
Mg: 0.500 0.000 0.840 x2
Mg: 0.500 0.240 0.595 x4
Nb: 0.500 0.000 0.365 x2
Fe: 0.000 0.000 0.475 x2

***

Number 1 is which compound? Mg6NbFe